Calculated X-ray powder pattern of Na3CuO2 for Cu Kα X-rays, from a cell relaxed with PBE.
Intensities are scaled so that the largest is 100.

Crystal structure
a = 7.846 Å, b = 7.846 Å, c = 11.691 Å
α = 90.00°, β = 90.00°, γ = 90.00°
Fractional coordinates of all 48 atoms:
Na  0.016  0.016  0.000
Na  0.026  0.446  0.002
Na  0.047  0.953  0.250
Na  0.054  0.526  0.252
Na  0.152  0.736  0.858
Na  0.236  0.348  0.608
Na  0.264  0.848  0.642
Na  0.348  0.236  0.392
Na  0.446  0.026  0.998
Na  0.453  0.453  0.000
Na  0.474  0.946  0.248
Na  0.484  0.516  0.250
Na  0.516  0.484  0.750
Na  0.526  0.054  0.748
Na  0.547  0.547  0.500
Na  0.554  0.974  0.498
Na  0.652  0.764  0.892
Na  0.736  0.152  0.142
Na  0.764  0.652  0.108
Na  0.848  0.264  0.358
Na  0.946  0.474  0.752
Na  0.953  0.047  0.750
Na  0.974  0.554  0.502
Na  0.984  0.984  0.500
Cu  0.236  0.238  0.156
Cu  0.238  0.236  0.844
Cu  0.262  0.736  0.406
Cu  0.264  0.738  0.094
Cu  0.736  0.262  0.594
Cu  0.738  0.264  0.906
Cu  0.762  0.764  0.344
Cu  0.764  0.762  0.656
O  0.006  0.240  0.161
O  0.034  0.735  0.088
O  0.235  0.466  0.838
O  0.240  0.006  0.839
O  0.260  0.506  0.411
O  0.265  0.966  0.412
O  0.466  0.235  0.162
O  0.494  0.740  0.089
O  0.506  0.260  0.589
O  0.534  0.765  0.662
O  0.735  0.034  0.912
O  0.740  0.494  0.911
O  0.760  0.994  0.339
O  0.765  0.534  0.338
O  0.966  0.265  0.588
O  0.994  0.760  0.661

Main lines, by intensity (2θ = 10–90°):
| 2θ/deg | I (rel.) | (hkl) |
| --- | --- | --- |
| 38.4 | 100 | 2 0 4 |
| 25.5 | 52 | 1 0 3 |
| 34.4 | 48 | 2 1 3 |
| 32.3 | 48 | 2 2 0 |
| 13.6 | 42 | 1 0 1 |
| 46.3 | 38 | 4 0 0 |
| 22.7 | 30 | 2 0 0 |
| 41.6 | 25 | 3 0 3 |

Calculated X-ray powder pattern of RbPaMnN4 for Cu Kα X-rays, from a cell relaxed with PBE.
Intensities are scaled so that the largest is 100.

Crystal structure
a = 5.774 Å, b = 5.531 Å, c = 7.955 Å
α = 90.00°, β = 105.91°, γ = 90.00°
Fractional coordinates of all 14 atoms:
Rb  0.217  0.250  0.433
Rb  0.783  0.750  0.567
Pa  0.265  0.250  0.950
Pa  0.735  0.750  0.050
Mn  0.271  0.750  0.157
Mn  0.729  0.250  0.843
N  0.071  0.750  0.280
N  0.073  0.750  0.953
N  0.471  0.510  0.169
N  0.471  0.990  0.169
N  0.529  0.010  0.831
N  0.529  0.490  0.831
N  0.927  0.250  0.047
N  0.929  0.250  0.720

Main lines, by intensity (2θ = 10–90°):
| 2θ/deg | I (rel.) | (hkl) |
| --- | --- | --- |
| 11.6 | 100 | 0 0 1 |
| 22.7 | 67 | 1 1 0 |
| 28.4 | 39 | 0 1 2 |
| 29.3 | 36 | 1 1 -2 |
| 32.4 | 33 | 0 2 0 |
| 35.8 | 29 | 1 1 2 |
| 32.2 | 24 | 2 0 0 |
| 46.3 | 24 | 2 2 0 |

Q: What is the formula in the second record?
A: RbPaMnN4